No. 1
Diffraction record for TiMnOs. The X-ray powder pattern is theoretical, not measured: it uses DFT lattice parameters and positions (PBE) and Cu Kα, 1.54184 Å.
Kinematic intensities with the Lorentz-polarization factor, no thermal factor.

Cell and atoms:
a b c (Å): 5.0628 5.0628 7.3003
angles (deg): 90.00 90.00 117.23
Element x y z (fractional)
1 Ti 0.1512 0.8488 0.9320
2 Ti 0.3488 0.6512 0.4320
3 Ti 0.6512 0.3488 0.5680
4 Ti 0.8488 0.1512 0.0680
5 Mn 0.1019 0.8981 0.5972
6 Mn 0.3981 0.6019 0.0972
7 Mn 0.6019 0.3981 0.9028
8 Mn 0.8981 0.1019 0.4028
9 Os 0.1275 0.3725 0.7500
10 Os 0.3725 0.1275 0.2500
11 Os 0.6275 0.8725 0.7500
12 Os 0.8725 0.6275 0.2500

Most intense lines, 2θ from 15° to 90°, sorted by position:
- d = 3.719 Å, rel. 72
- d = 3.650 Å, rel. 34
- d = 2.161 Å, rel. 33
- d = 2.151 Å, rel. 100
- d = 2.137 Å, rel. 50
- d = 2.120 Å, rel. 68
- d = 1.520 Å, rel. 31
- d = 1.501 Å, rel. 16
- d = 1.233 Å, rel. 15
- d = 1.120 Å, rel. 17

No. 2
Diffraction record for Ti6Mn5Os. The X-ray powder pattern is theoretical, not measured: it uses DFT lattice parameters and positions (PBE) and Cu Kα, 1.54184 Å.
Kinematic intensities with the Lorentz-polarization factor, no thermal factor.

Cell and atoms:
a b c (Å): 7.3724 7.3724 7.3724
angles (deg): 146.48 131.74 60.04
Element x y z (fractional)
1 Ti 0.0790 0.3315 0.7474
2 Ti 0.2450 0.0000 0.2450
3 Ti 0.4159 0.6685 0.7474
4 Ti 0.5841 0.3315 0.2526
5 Ti 0.7550 0.0000 0.7550
6 Ti 0.9210 0.6685 0.2526
7 Mn 0.0000 0.5000 0.5000
8 Mn 0.1669 0.1669 0.0000
9 Mn 0.3314 0.8314 0.5000
10 Mn 0.6686 0.1686 0.5000
11 Mn 0.8331 0.8331 0.0000
12 Os 0.5000 0.5000 0.0000

Most intense lines, 2θ from 15° to 90°, sorted by position:
- d = 5.451 Å, rel. 10
- d = 4.034 Å, rel. 5
- d = 3.476 Å, rel. 8
- d = 3.052 Å, rel. 6
- d = 3.010 Å, rel. 8
- d = 2.128 Å, rel. 100
- d = 1.507 Å, rel. 5
- d = 1.504 Å, rel. 10
- d = 1.229 Å, rel. 20
- d = 1.228 Å, rel. 10

No. 3
Diffraction record for Mn4TlOs. The X-ray powder pattern is theoretical, not measured: it uses DFT lattice parameters and positions (PBE) and Cu Kα, 1.54184 Å.
Kinematic intensities with the Lorentz-polarization factor, no thermal factor.

Cell and atoms:
a b c (Å): 4.8483 4.8483 4.8483
angles (deg): 60.00 60.00 60.00
Element x y z (fractional)
1 Mn 0.1248 0.1248 0.1248
2 Mn 0.1248 0.1248 0.6255
3 Mn 0.1248 0.6255 0.1248
4 Mn 0.6255 0.1248 0.1248
5 Tl 0.5000 0.5000 0.5000
6 Os 0.7500 0.7500 0.7500

Most intense lines, 2θ from 15° to 90°, sorted by position:
- d = 3.959 Å, rel. 32
- d = 2.424 Å, rel. 80
- d = 2.067 Å, rel. 100
- d = 1.979 Å, rel. 10
- d = 1.714 Å, rel. 3
- d = 1.573 Å, rel. 8
- d = 1.400 Å, rel. 29
- d = 1.320 Å, rel. 30
- d = 1.212 Å, rel. 21
- d = 1.159 Å, rel. 7

No. 4
Diffraction record for MnVOs4. The X-ray powder pattern is theoretical, not measured: it uses DFT lattice parameters and positions (PBE) and Cu Kα, 1.54184 Å.
Kinematic intensities with the Lorentz-polarization factor, no thermal factor.

Cell and atoms:
a b c (Å): 9.0361 9.0361 5.1409
angles (deg): 90.00 90.00 153.14
Element x y z (fractional)
1 Mn 0.0515 0.9485 0.5000
2 Mn 0.9485 0.0515 0.0000
3 V 0.3849 0.6151 0.3062
4 V 0.6151 0.3849 0.8062
5 Os 0.0811 0.9189 0.0281
6 Os 0.1934 0.8066 0.6418
7 Os 0.2272 0.7728 0.1185
8 Os 0.3509 0.6491 0.8272
9 Os 0.6491 0.3509 0.3272
10 Os 0.7728 0.2272 0.6185
11 Os 0.8066 0.1934 0.1418
12 Os 0.9189 0.0811 0.5281

Most intense lines, 2θ from 15° to 90°, sorted by position:
- d = 4.083 Å, rel. 31
- d = 3.340 Å, rel. 30
- d = 3.197 Å, rel. 43
- d = 2.467 Å, rel. 29
- d = 2.387 Å, rel. 54
- d = 2.175 Å, rel. 68
- d = 2.155 Å, rel. 100
- d = 2.099 Å, rel. 74
- d = 2.053 Å, rel. 62
- d = 1.987 Å, rel. 49

No. 5
Diffraction record for MnV3Os2. The X-ray powder pattern is theoretical, not measured: it uses DFT lattice parameters and positions (PBE) and Cu Kα, 1.54184 Å.
Kinematic intensities with the Lorentz-polarization factor, no thermal factor.

Cell and atoms:
a b c (Å): 2.9622 2.9622 9.0017
angles (deg): 90.00 90.00 90.00
Element x y z (fractional)
1 Mn 0.0000 0.0000 0.0000
2 V 0.5000 0.5000 0.1529
3 V 0.5000 0.5000 0.5000
4 V 0.5000 0.5000 0.8471
5 Os 0.0000 0.0000 0.3258
6 Os 0.0000 0.0000 0.6742

Most intense lines, 2θ from 15° to 90°, sorted by position:
- d = 4.501 Å, rel. 11
- d = 3.001 Å, rel. 16
- d = 2.962 Å, rel. 30
- d = 2.474 Å, rel. 15
- d = 2.108 Å, rel. 100
- d = 2.095 Å, rel. 50
- d = 1.717 Å, rel. 13
- d = 1.481 Å, rel. 16
- d = 1.220 Å, rel. 15
- d = 1.212 Å, rel. 32

No. 6
Diffraction record for Mn2ZnOs. The X-ray powder pattern is theoretical, not measured: it uses DFT lattice parameters and positions (PBE) and Cu Kα, 1.54184 Å.
Kinematic intensities with the Lorentz-polarization factor, no thermal factor.

Cell and atoms:
a b c (Å): 4.5445 4.5445 4.5312
angles (deg): 100.71 100.71 34.65
Element x y z (fractional)
1 Mn 0.0000 0.0000 0.0000
2 Mn 0.7481 0.7481 0.2692
3 Zn 0.5011 0.5011 0.4966
4 Os 0.2573 0.2573 0.7807

Most intense lines, 2θ from 15° to 90°, sorted by position:
- d = 4.444 Å, rel. 37
- d = 4.255 Å, rel. 28
- d = 3.425 Å, rel. 23
- d = 2.579 Å, rel. 21
- d = 2.176 Å, rel. 100
- d = 2.149 Å, rel. 48
- d = 2.128 Å, rel. 47
- d = 1.888 Å, rel. 65
- d = 1.829 Å, rel. 28
- d = 1.318 Å, rel. 27

No. 7
Diffraction record for Mn2ZnOs. The X-ray powder pattern is theoretical, not measured: it uses DFT lattice parameters and positions (PBE) and Cu Kα, 1.54184 Å.
Kinematic intensities with the Lorentz-polarization factor, no thermal factor.

Cell and atoms:
a b c (Å): 2.6504 3.7184 5.3499
angles (deg): 90.00 90.00 90.00
Element x y z (fractional)
1 Mn 0.0000 0.0000 0.0000
2 Mn 0.5000 0.5000 0.2522
3 Zn 0.5000 0.5000 0.7558
4 Os 0.0000 0.0000 0.4908

Most intense lines, 2θ from 15° to 90°, sorted by position:
- d = 5.350 Å, rel. 58
- d = 3.718 Å, rel. 20
- d = 3.053 Å, rel. 34
- d = 2.171 Å, rel. 100
- d = 2.158 Å, rel. 99
- d = 1.883 Å, rel. 64
- d = 1.859 Å, rel. 31
- d = 1.323 Å, rel. 39
- d = 1.137 Å, rel. 23
- d = 1.131 Å, rel. 23

No. 8
Diffraction record for ZrMn17Os. The X-ray powder pattern is theoretical, not measured: it uses DFT lattice parameters and positions (PBE) and Cu Kα, 1.54184 Å.
Kinematic intensities with the Lorentz-polarization factor, no thermal factor.

Cell and atoms:
a b c (Å): 6.1318 6.1318 6.1318
angles (deg): 81.54 81.54 81.54
Element x y z (fractional)
1 Zr 0.0000 0.0000 0.0000
2 Mn 0.0092 0.0092 0.4873
3 Mn 0.0092 0.4873 0.0092
4 Mn 0.1564 0.6718 0.6718
5 Mn 0.3105 0.3105 0.7941
6 Mn 0.3105 0.7941 0.3105
7 Mn 0.3598 0.6428 0.9677
8 Mn 0.3598 0.9677 0.6428
9 Mn 0.4873 0.0092 0.0092
10 Mn 0.5663 0.5663 0.5663
11 Mn 0.6428 0.3598 0.9677
12 Mn 0.6428 0.9677 0.3598
13 Mn 0.6718 0.1564 0.6718
14 Mn 0.6718 0.6718 0.1564
15 Mn 0.7508 0.7508 0.7508
16 Mn 0.7941 0.3105 0.3105
17 Mn 0.9677 0.3598 0.6428
18 Mn 0.9677 0.6428 0.3598
19 Os 0.3228 0.3228 0.3228

Most intense lines, 2θ from 15° to 90°, sorted by position:
- d = 2.840 Å, rel. 23
- d = 2.312 Å, rel. 27
- d = 2.278 Å, rel. 17
- d = 2.014 Å, rel. 19
- d = 2.004 Å, rel. 100
- d = 1.981 Å, rel. 20
- d = 1.793 Å, rel. 10
- d = 1.267 Å, rel. 10
- d = 1.161 Å, rel. 11
- d = 1.156 Å, rel. 10

No. 9
Diffraction record for Zr4MnOs3. The X-ray powder pattern is theoretical, not measured: it uses DFT lattice parameters and positions (PBE) and Cu Kα, 1.54184 Å.
Kinematic intensities with the Lorentz-polarization factor, no thermal factor.

Cell and atoms:
a b c (Å): 3.2628 3.2628 13.0923
angles (deg): 90.00 90.00 90.00
Element x y z (fractional)
1 Zr 0.0000 0.0000 0.1198
2 Zr 0.0000 0.0000 0.3730
3 Zr 0.0000 0.0000 0.6270
4 Zr 0.0000 0.0000 0.8802
5 Mn 0.5000 0.5000 0.0000
6 Os 0.5000 0.5000 0.2480
7 Os 0.5000 0.5000 0.5000
8 Os 0.5000 0.5000 0.7520

Most intense lines, 2θ from 15° to 90°, sorted by position:
- d = 3.266 Å, rel. 7
- d = 3.166 Å, rel. 3
- d = 2.614 Å, rel. 3
- d = 2.310 Å, rel. 100
- d = 1.637 Å, rel. 6
- d = 1.631 Å, rel. 11
- d = 1.335 Å, rel. 11
- d = 1.333 Å, rel. 23
- d = 1.155 Å, rel. 7
- d = 1.154 Å, rel. 4

No. 10
Diffraction record for MnP3. The X-ray powder pattern is theoretical, not measured: it uses DFT lattice parameters and positions (PBE) and Cu Kα, 1.54184 Å.
Kinematic intensities with the Lorentz-polarization factor, no thermal factor.

Cell and atoms:
a b c (Å): 4.3241 4.3241 4.5346
angles (deg): 104.25 104.25 42.90
Element x y z (fractional)
1 Mn 0.0000 0.0000 0.0000
2 P 0.0995 0.0995 0.5354
3 P 0.3146 0.3146 0.1360
4 P 0.3855 0.3855 0.6530

Most intense lines, 2θ from 15° to 90°, sorted by position:
- d = 4.373 Å, rel. 18
- d = 3.881 Å, rel. 47
- d = 2.929 Å, rel. 100
- d = 2.554 Å, rel. 17
- d = 2.187 Å, rel. 31
- d = 2.003 Å, rel. 50
- d = 1.979 Å, rel. 58
- d = 1.843 Å, rel. 75
- d = 1.694 Å, rel. 36
- d = 1.581 Å, rel. 23

No. 11
Diffraction record for Mn3P. The X-ray powder pattern is theoretical, not measured: it uses DFT lattice parameters and positions (PBE) and Cu Kα, 1.54184 Å.
Kinematic intensities with the Lorentz-polarization factor, no thermal factor.

Cell and atoms:
a b c (Å): 2.6726 2.6726 7.1615
angles (deg): 90.00 90.00 120.00
Element x y z (fractional)
1 Mn 0.0000 0.0000 0.0000
2 Mn 0.3333 0.6667 0.2691
3 Mn 0.3333 0.6667 0.7309
4 P 0.0000 0.0000 0.5000

Most intense lines, 2θ from 15° to 90°, sorted by position:
- d = 2.387 Å, rel. 5
- d = 2.315 Å, rel. 32
- d = 2.202 Å, rel. 6
- d = 1.944 Å, rel. 100
- d = 1.790 Å, rel. 15
- d = 1.416 Å, rel. 10
- d = 1.336 Å, rel. 18
- d = 1.218 Å, rel. 4
- d = 1.157 Å, rel. 3
- d = 1.101 Å, rel. 14

No. 12
Diffraction record for MnP3. The X-ray powder pattern is theoretical, not measured: it uses DFT lattice parameters and positions (PBE) and Cu Kα, 1.54184 Å.
Kinematic intensities with the Lorentz-polarization factor, no thermal factor.

Cell and atoms:
a b c (Å): 3.8960 3.8960 4.1927
angles (deg): 93.67 93.67 63.04
Element x y z (fractional)
1 Mn 0.0000 0.0000 0.0000
2 P 0.2960 0.3859 0.1629
3 P 0.6141 0.7040 0.8371
4 P 0.8024 0.1976 0.5000

Most intense lines, 2θ from 15° to 90°, sorted by position:
- d = 4.181 Å, rel. 86
- d = 3.470 Å, rel. 50
- d = 3.312 Å, rel. 54
- d = 2.723 Å, rel. 94
- d = 2.620 Å, rel. 34
- d = 1.941 Å, rel. 100
- d = 1.831 Å, rel. 60
- d = 1.823 Å, rel. 81
- d = 1.711 Å, rel. 41
- d = 1.581 Å, rel. 36